No. 1
# ThMgZn10
Simulated PXRD pattern, Cu Kα, 1.54184 Å. Input: a crystal structure in Alexandria, relaxed with GGA-PBE.
Lines closer than 0.1° are merged.

Structural model:
Cell lengths 4.285, 5.243, 9.272 Å; angles 90.00, 90.00, 90.00 degrees
Sites, in units of the cell vectors:
Th 0.000 0.000 0.000
Mg 0.000 0.500 0.500
Zn 0.000 0.000 0.348
Zn 0.000 0.000 0.652
Zn 0.000 0.500 0.193
Zn 0.000 0.500 0.807
Zn 0.500 0.000 0.500
Zn 0.500 0.243 0.242
Zn 0.500 0.243 0.758
Zn 0.500 0.500 0.000
Zn 0.500 0.757 0.242
Zn 0.500 0.757 0.758

Principal peaks in the range 2θ from 15° to 90°, sorted by position:
- 2θ 16.9, I = 21
- 2θ 25.7, I = 22
- 2θ 28.6, I = 37
- 2θ 33.2, I = 28
- 2θ 33.7, I = 25
- 2θ 38.8, I = 21
- 2θ 39.5, I = 32
- 2θ 39.9, I = 100
- 2θ 40.3, I = 51
- 2θ 42.2, I = 46
- 2θ 65.1, I = 22
- 2θ 86.0, I = 20

***

No. 2
# Th7Cd2Tc2
Simulated PXRD pattern, Cu Kα, 1.54184 Å. Input: a crystal structure in Alexandria, relaxed with GGA-PBE.
Lines closer than 0.1° are merged.

Structural model:
Cell lengths 9.623, 9.623, 9.623 Å; angles 157.08, 71.24, 113.62 degrees
Sites, in units of the cell vectors:
Th 0.000 0.000 0.000
Th 0.046 0.705 0.341
Th 0.324 0.495 0.829
Th 0.364 0.705 0.659
Th 0.644 0.290 0.354
Th 0.667 0.495 0.171
Th 0.936 0.290 0.646
Cd 0.313 0.313 0.000
Cd 0.546 0.046 0.500
Tc 0.180 0.991 0.190
Tc 0.801 0.991 0.810

Principal peaks in the range 2θ from 15° to 90°, sorted by position:
- 2θ 27.3, I = 26
- 2θ 28.4, I = 19
- 2θ 29.4, I = 51
- 2θ 30.7, I = 48
- 2θ 33.7, I = 100
- 2θ 33.9, I = 24
- 2θ 34.0, I = 25
- 2θ 34.4, I = 43
- 2θ 34.7, I = 17
- 2θ 47.5, I = 22
- 2θ 57.7, I = 17
- 2θ 60.0, I = 18

***

No. 3
# PaVSi2Tc
Simulated PXRD pattern, Cu Kα, 1.54184 Å. Input: a crystal structure in Alexandria, relaxed with GGA-PBE.
Lines closer than 0.1° are merged.

Structural model:
Cell lengths 6.045, 6.045, 6.045 Å; angles 141.78, 141.78, 55.16 degrees
Sites, in units of the cell vectors:
Pa 0.000 0.000 0.000
V 0.750 0.250 0.500
Si 0.389 0.389 0.000
Si 0.611 0.611 0.000
Tc 0.250 0.750 0.500

Principal peaks in the range 2θ from 15° to 90°, sorted by position:
- 2θ 24.0, I = 66
- 2θ 33.4, I = 22
- 2θ 33.8, I = 54
- 2θ 36.2, I = 100
- 2θ 45.9, I = 32
- 2θ 48.3, I = 24
- 2θ 52.4, I = 17
- 2θ 57.9, I = 18
- 2θ 58.2, I = 24
- 2θ 61.6, I = 17
- 2θ 68.8, I = 17
- 2θ 78.5, I = 21

***

No. 4
# LaSb3Pd3
Simulated PXRD pattern, Cu Kα, 1.54184 Å. Input: a crystal structure in Alexandria, relaxed with GGA-PBE.
Lines closer than 0.1° are merged.

Structural model:
Cell lengths 7.619, 7.619, 7.619 Å; angles 65.44, 65.44, 65.44 degrees
Sites, in units of the cell vectors:
La 0.168 0.168 0.168
La 0.832 0.832 0.832
Sb 0.104 0.406 0.714
Sb 0.286 0.896 0.594
Sb 0.406 0.714 0.104
Sb 0.594 0.286 0.896
Sb 0.714 0.104 0.406
Sb 0.896 0.594 0.286
Pd 0.057 0.762 0.412
Pd 0.238 0.588 0.943
Pd 0.412 0.057 0.762
Pd 0.588 0.943 0.238
Pd 0.762 0.412 0.057
Pd 0.943 0.238 0.588

Principal peaks in the range 2θ from 15° to 90°, sorted by position:
- 2θ 21.6, I = 29
- 2θ 26.3, I = 30
- 2θ 30.0, I = 28
- 2θ 34.8, I = 10
- 2θ 37.3, I = 73
- 2θ 37.8, I = 100
- 2θ 49.0, I = 35
- 2θ 54.2, I = 22
- 2θ 60.8, I = 13
- 2θ 68.0, I = 19
- 2θ 68.3, I = 13
- 2θ 75.3, I = 20

***

No. 5
# K4HgI6
Simulated PXRD pattern, Cu Kα, 1.54184 Å. Input: a crystal structure in Alexandria, relaxed with GGA-PBE.
Lines closer than 0.1° are merged.

Structural model:
Cell lengths 9.513, 9.513, 16.907 Å; angles 110.67, 110.67, 56.32 degrees
Sites, in units of the cell vectors:
K 0.135 0.865 0.500
K 0.210 0.501 0.018
K 0.401 0.747 0.823
K 0.501 0.210 0.518
K 0.533 0.933 0.172
K 0.747 0.401 0.323
K 0.865 0.135 0.000
K 0.933 0.533 0.672
Hg 0.067 0.534 0.264
Hg 0.534 0.067 0.764
I 0.208 0.212 0.307
I 0.210 0.600 0.622
I 0.212 0.208 0.807
I 0.269 0.687 0.298
I 0.277 0.805 0.002
I 0.526 0.885 0.587
I 0.600 0.210 0.122
I 0.687 0.269 0.798
I 0.769 0.788 0.862
I 0.788 0.769 0.362
I 0.805 0.277 0.502
I 0.885 0.526 0.087

Principal peaks in the range 2θ from 15° to 90°, sorted by position:
- 2θ 18.6, I = 76
- 2θ 18.7, I = 56
- 2θ 19.2, I = 58
- 2θ 19.8, I = 43
- 2θ 21.3, I = 59
- 2θ 22.5, I = 56
- 2θ 22.9, I = 95
- 2θ 23.5, I = 100
- 2θ 32.3, I = 46
- 2θ 33.2, I = 46
- 2θ 33.4, I = 49
- 2θ 37.8, I = 48

***

No. 6
# Sc4CoTc
Simulated PXRD pattern, Cu Kα, 1.54184 Å. Input: a crystal structure in Alexandria, relaxed with GGA-PBE.
Lines closer than 0.1° are merged.

Structural model:
Cell lengths 3.249, 3.249, 11.020 Å; angles 90.00, 90.00, 90.00 degrees
Sites, in units of the cell vectors:
Sc 0.000 0.000 0.132
Sc 0.000 0.000 0.868
Sc 0.500 0.500 0.362
Sc 0.500 0.500 0.638
Co 0.500 0.500 0.000
Tc 0.000 0.000 0.500

Principal peaks in the range 2θ from 15° to 90°, sorted by position:
- 2θ 16.1, I = 41
- 2θ 36.9, I = 100
- 2θ 39.2, I = 51
- 2θ 42.6, I = 14
- 2θ 49.6, I = 6
- 2θ 50.0, I = 24
- 2θ 56.7, I = 16
- 2θ 65.0, I = 9
- 2θ 69.6, I = 27
- 2θ 78.6, I = 5
- 2θ 78.9, I = 12
- 2θ 81.5, I = 9

***

No. 7
# NiSn3
Simulated PXRD pattern, Cu Kα, 1.54184 Å. Input: a crystal structure in Alexandria, relaxed with GGA-PBE.
Lines closer than 0.1° are merged.

Structural model:
Cell lengths 3.273, 3.335, 8.503 Å; angles 90.00, 90.00, 90.00 degrees
Sites, in units of the cell vectors:
Ni 0.000 0.000 0.000
Sn 0.000 0.500 0.239
Sn 0.500 0.000 0.530
Sn 0.500 0.500 0.855

Principal peaks in the range 2θ from 15° to 90°, sorted by position:
- 2θ 28.8, I = 25
- 2θ 29.2, I = 82
- 2θ 31.6, I = 40
- 2θ 34.2, I = 99
- 2θ 34.6, I = 20
- 2θ 40.0, I = 100
- 2θ 42.2, I = 27
- 2θ 44.2, I = 26
- 2θ 55.1, I = 18
- 2θ 58.7, I = 21
- 2θ 63.6, I = 19
- 2θ 67.4, I = 28

***

No. 8
# Ti3GaRh
Simulated PXRD pattern, Cu Kα, 1.54184 Å. Input: a crystal structure in Alexandria, relaxed with GGA-PBE.
Lines closer than 0.1° are merged.

Structural model:
Cell lengths 9.611, 9.611, 9.611 Å; angles 151.03, 151.03, 41.44 degrees
Sites, in units of the cell vectors:
Ti 0.129 0.379 0.750
Ti 0.216 0.216 0.000
Ti 0.621 0.371 0.750
Ti 0.621 0.871 0.250
Ti 0.629 0.379 0.250
Ti 0.784 0.784 0.000
Ga 0.053 0.553 0.500
Ga 0.447 0.947 0.500
Rh 0.500 0.500 0.000
Rh 0.750 0.250 0.500

Principal peaks in the range 2θ from 15° to 90°, sorted by position:
- 2θ 19.1, I = 100
- 2θ 23.7, I = 50
- 2θ 37.4, I = 45
- 2θ 38.8, I = 14
- 2θ 39.8, I = 55
- 2θ 40.1, I = 27
- 2θ 42.6, I = 29
- 2θ 44.8, I = 73
- 2θ 58.0, I = 48
- 2θ 72.6, I = 23
- 2θ 79.8, I = 13
- 2θ 83.2, I = 14

***

Number 2 is which compound?
Th7Cd2Tc2